No. 1
For AsP2Pd6, DFT lattice parameters and positions (PBE) gives the simulated powder X-ray diffraction pattern in this record (Cu Kα (weighted mean of Kα1 and Kα2)).
Peak positions follow from Bragg's law for the DFT cell and can differ from measured ones.

The 10 most intense peaks (10° ≤ 2θ ≤ 90°), low angle first:
2θ 32.68, rel. 15; 2θ 36.46, rel. 100; 2θ 37.88, rel. 18; 2θ 40.55, rel. 12; 2θ 41.03, rel. 21; 2θ 43.07, rel. 23; 2θ 46.95, rel. 25; 2θ 48.30, rel. 14; 2θ 59.30, rel. 13; 2θ 74.65, rel. 17

Atomic structure:
a = 12.600 Å, b = 3.117 Å, c = 7.442 Å
α = 90.00°, β = 106.79°, γ = 90.00°
Space group C2/m (No. 12)
One atom of each set of equivalent atoms:
As1 0.000 0.000 0.000 (multiplicity 2)
P1 0.132 0.500 0.587 (multiplicity 4)
Pd1 0.030 0.000 0.337 (multiplicity 4)
Pd2 0.149 0.500 0.910 (multiplicity 4)
Pd3 0.217 0.500 0.318 (multiplicity 4)

No. 2
For Pr7AsP5, DFT lattice parameters and positions (PBE) gives the simulated powder X-ray diffraction pattern in this record (Cu Kα (weighted mean of Kα1 and Kα2)).
Peak positions follow from Bragg's law for the DFT cell and can differ from measured ones.

The 10 most intense peaks (10° ≤ 2θ ≤ 90°), low angle first:
2θ 25.99, rel. 26; 2θ 26.50, rel. 47; 2θ 28.45, rel. 100; 2θ 28.69, rel. 31; 2θ 29.67, rel. 80; 2θ 30.79, rel. 69; 2θ 43.10, rel. 56; 2θ 43.25, rel. 46; 2θ 45.03, rel. 24; 2θ 52.47, rel. 36

Atomic structure:
a = 4.196 Å, b = 13.848 Å, c = 24.638 Å
α = 90.00°, β = 90.00°, γ = 90.00°
Space group Cmcm (No. 63)
One atom of each set of equivalent atoms:
Pr1 0.000 0.046 0.250 (multiplicity 4)
Pr2 0.000 0.137 0.535 (multiplicity 8)
Pr3 0.000 0.319 0.175 (multiplicity 8)
Pr4 0.000 0.412 0.605 (multiplicity 8)
As1 0.000 0.299 0.750 (multiplicity 4)
P1 0.000 0.046 0.646 (multiplicity 8)
P2 0.000 0.227 0.074 (multiplicity 8)
P3 0.000 0.500 0.000 (multiplicity 4)

No. 3
For Pr8AsP5, DFT lattice parameters and positions (PBE) gives the simulated powder X-ray diffraction pattern in this record (Cu Kα (weighted mean of Kα1 and Kα2)).
Peak positions follow from Bragg's law for the DFT cell and can differ from measured ones.

The 10 most intense peaks (10° ≤ 2θ ≤ 90°), low angle first:
2θ 24.39, rel. 52; 2θ 28.24, rel. 47; 2θ 31.61, rel. 100; 2θ 31.73, rel. 52; 2θ 37.64, rel. 94; 2θ 49.94, rel. 22; 2θ 52.12, rel. 47; 2θ 52.26, rel. 24; 2θ 64.16, rel. 20; 2θ 68.01, rel. 16

Atomic structure:
a = 8.953 Å, b = 8.953 Å, c = 8.914 Å
α = 90.00°, β = 90.00°, γ = 90.00°
Space group I-4 (No. 82)
One atom of each set of equivalent atoms:
Pr1 0.065 0.180 0.312 (multiplicity 8)
Pr2 0.065 0.313 0.939 (multiplicity 8)
As1 0.000 0.500 0.250 (multiplicity 2)
P1 0.000 0.000 0.000 (multiplicity 2)
P2 0.127 0.251 0.625 (multiplicity 8)

No. 4
For Pr4AsP2, DFT lattice parameters and positions (PBE) gives the simulated powder X-ray diffraction pattern in this record (Cu Kα (weighted mean of Kα1 and Kα2)).
Peak positions follow from Bragg's law for the DFT cell and can differ from measured ones.

The 10 most intense peaks (10° ≤ 2θ ≤ 90°), low angle first:
2θ 25.73, rel. 23; 2θ 25.94, rel. 16; 2θ 29.01, rel. 81; 2θ 29.62, rel. 100; 2θ 31.74, rel. 37; 2θ 39.72, rel. 20; 2θ 43.22, rel. 21; 2θ 44.08, rel. 20; 2θ 52.89, rel. 30; 2θ 71.24, rel. 17

Atomic structure:
a = 4.187 Å, b = 13.738 Å, c = 13.772 Å
α = 90.00°, β = 90.00°, γ = 90.00°
Space group Cmcm (No. 63)
One atom of each set of equivalent atoms:
Pr1 0.000 0.000 0.000 (multiplicity 4)
Pr2 0.000 0.272 0.121 (multiplicity 8)
Pr3 0.000 0.451 0.750 (multiplicity 4)
As1 0.000 0.105 0.750 (multiplicity 4)
P1 0.000 0.362 0.563 (multiplicity 8)

No. 5
For AsP2Pt, DFT lattice parameters and positions (PBE) gives the simulated powder X-ray diffraction pattern in this record (Cu Kα (weighted mean of Kα1 and Kα2)).
Peak positions follow from Bragg's law for the DFT cell and can differ from measured ones.

The 10 most intense peaks (10° ≤ 2θ ≤ 90°), low angle first:
2θ 15.13, rel. 34; 2θ 29.06, rel. 19; 2θ 30.40, rel. 58; 2θ 30.53, rel. 19; 2θ 35.28, rel. 100; 2θ 50.66, rel. 35; 2θ 50.84, rel. 35; 2θ 60.29, rel. 27; 2θ 63.24, rel. 18; 2θ 85.18, rel. 16

Atomic structure:
a = 3.6035 Å, b = 3.6035 Å, c = 17.5702 Å
α = 90.00°, β = 90.00°, γ = 120.00°
Space group R-3m (No. 166, hexagonal axes)
One atom of each set of equivalent atoms:
As1 0.0000 0.0000 0.0000 (multiplicity 3)
P1 0.0000 0.0000 0.2439 (multiplicity 6)
Pt1 0.0000 0.0000 0.5000 (multiplicity 3)

No. 6
For PuAsP, DFT lattice parameters and positions (PBE) gives the simulated powder X-ray diffraction pattern in this record (Cu Kα (weighted mean of Kα1 and Kα2)).
Peak positions follow from Bragg's law for the DFT cell and can differ from measured ones.

The 10 most intense peaks (10° ≤ 2θ ≤ 90°), low angle first:
2θ 23.48, rel. 74; 2θ 28.54, rel. 100; 2θ 32.43, rel. 36; 2θ 34.32, rel. 35; 2θ 34.44, rel. 46; 2θ 39.94, rel. 95; 2θ 46.52, rel. 45; 2θ 46.76, rel. 40; 2θ 55.49, rel. 34; 2θ 59.07, rel. 29

Atomic structure:
a = 3.904 Å, b = 3.904 Å, c = 15.678 Å
α = 90.00°, β = 90.00°, γ = 90.00°
Space group I4/mmm (No. 139)
One atom of each set of equivalent atoms:
Pu1 0.000 0.000 0.147 (multiplicity 4)
As1 0.000 0.500 0.000 (multiplicity 4)
P1 0.000 0.000 0.322 (multiplicity 4)

No. 7
For Pu2AsPRh6, DFT lattice parameters and positions (PBE) gives the simulated powder X-ray diffraction pattern in this record (Cu Kα (weighted mean of Kα1 and Kα2)).
Peak positions follow from Bragg's law for the DFT cell and can differ from measured ones.

The 10 most intense peaks (10° ≤ 2θ ≤ 90°), low angle first:
2θ 19.65, rel. 24; 2θ 28.78, rel. 78; 2θ 31.40, rel. 92; 2θ 35.36, rel. 34; 2θ 38.47, rel. 100; 2θ 38.79, rel. 25; 2θ 39.91, rel. 81; 2θ 42.36, rel. 55; 2θ 44.43, rel. 69; 2θ 59.60, rel. 47

Atomic structure:
a = 5.596 Å, b = 8.535 Å, c = 7.653 Å
α = 90.00°, β = 90.00°, γ = 90.00°
Space group Pmmn (No. 59, origin choice 2)
One atom of each set of equivalent atoms:
Pu1 0.250 0.014 0.230 (multiplicity 4)
As1 0.250 0.750 0.771 (multiplicity 2)
P1 0.250 0.250 0.742 (multiplicity 2)
Rh1 0.007 0.750 0.033 (multiplicity 4)
Rh2 0.008 0.750 0.490 (multiplicity 4)
Rh3 0.250 0.501 0.616 (multiplicity 4)

No. 8
For Pu4AsP2Se, DFT lattice parameters and positions (PBE) gives the simulated powder X-ray diffraction pattern in this record (Cu Kα (weighted mean of Kα1 and Kα2)).
Peak positions follow from Bragg's law for the DFT cell and can differ from measured ones.

The 10 most intense peaks (10° ≤ 2θ ≤ 90°), low angle first:
2θ 26.66, rel. 18; 2θ 26.79, rel. 55; 2θ 30.99, rel. 100; 2θ 44.31, rel. 37; 2θ 44.48, rel. 38; 2θ 52.64, rel. 27; 2θ 55.19, rel. 20; 2θ 73.24, rel. 16; 2θ 73.48, rel. 17; 2θ 81.80, rel. 13

Atomic structure:
a = 7.055 Å, b = 4.075 Å, c = 7.089 Å
α = 90.00°, β = 109.37°, γ = 90.00°
Space group P2/m (No. 10)
One atom of each set of equivalent atoms:
Pu1 0.244 0.000 0.237 (multiplicity 2)
Pu2 0.252 0.500 0.762 (multiplicity 2)
As1 0.000 0.000 0.500 (multiplicity 1)
P1 0.000 0.500 0.000 (multiplicity 1)
P2 0.500 0.000 0.000 (multiplicity 1)
Se1 0.500 0.500 0.500 (multiplicity 1)

No. 9
For Rb3AsP, DFT lattice parameters and positions (PBE) gives the simulated powder X-ray diffraction pattern in this record (Cu Kα (weighted mean of Kα1 and Kα2)).
Peak positions follow from Bragg's law for the DFT cell and can differ from measured ones.

The 10 most intense peaks (10° ≤ 2θ ≤ 90°), low angle first:
2θ 19.95, rel. 16; 2θ 23.92, rel. 18; 2θ 25.70, rel. 100; 2θ 27.94, rel. 43; 2θ 28.48, rel. 21; 2θ 35.77, rel. 54; 2θ 35.90, rel. 20; 2θ 43.41, rel. 19; 2θ 45.96, rel. 22; 2θ 51.02, rel. 18

Atomic structure:
a = 12.515 Å, b = 14.883 Å, c = 5.025 Å
α = 90.00°, β = 90.00°, γ = 90.00°
Space group Cmcm (No. 63)
One atom of each set of equivalent atoms:
Rb1 0.000 0.147 0.250 (multiplicity 4)
Rb2 0.180 0.367 0.250 (multiplicity 8)
As1 0.000 0.461 0.750 (multiplicity 4)
P1 0.000 0.305 0.750 (multiplicity 4)

No. 10
For RbAs3P, DFT lattice parameters and positions (PBE) gives the simulated powder X-ray diffraction pattern in this record (Cu Kα (weighted mean of Kα1 and Kα2)).
Peak positions follow from Bragg's law for the DFT cell and can differ from measured ones.

The 10 most intense peaks (10° ≤ 2θ ≤ 90°), low angle first:
2θ 13.17, rel. 100; 2θ 18.50, rel. 38; 2θ 25.25, rel. 25; 2θ 26.52, rel. 42; 2θ 28.56, rel. 60; 2θ 28.73, rel. 36; 2θ 31.39, rel. 55; 2θ 33.59, rel. 71; 2θ 36.66, rel. 27; 2θ 47.12, rel. 23

Atomic structure:
a = 6.906 Å, b = 7.066 Å, c = 7.106 Å
α = 90.00°, β = 108.94°, γ = 90.00°
Space group P2_1/m (No. 11)
One atom of each set of equivalent atoms:
Rb1 0.214 0.250 0.482 (multiplicity 2)
As1 0.159 0.003 0.927 (multiplicity 4)
As2 0.434 0.250 0.099 (multiplicity 2)
P1 0.354 0.750 0.106 (multiplicity 2)

No. 11
For AsPRh4, DFT lattice parameters and positions (PBE) gives the simulated powder X-ray diffraction pattern in this record (Cu Kα (weighted mean of Kα1 and Kα2)).
Peak positions follow from Bragg's law for the DFT cell and can differ from measured ones.

The 10 most intense peaks (10° ≤ 2θ ≤ 90°), low angle first:
2θ 27.33, rel. 12; 2θ 31.67, rel. 49; 2θ 45.39, rel. 100; 2θ 53.80, rel. 5; 2θ 56.37, rel. 9; 2θ 56.48, rel. 3; 2θ 66.14, rel. 16; 2θ 75.19, rel. 15; 2θ 83.83, rel. 25; 2θ 83.99, rel. 8

Atomic structure:
a = 3.9988 Å, b = 3.9988 Å, c = 19.5506 Å
α = 90.00°, β = 90.00°, γ = 120.00°
Space group R-3m (No. 166, hexagonal axes)
One atom of each set of equivalent atoms:
As1 0.0000 0.0000 0.0000 (multiplicity 3)
P1 0.0000 0.0000 0.5000 (multiplicity 3)
Rh1 0.0000 0.0000 0.1281 (multiplicity 6)
Rh2 0.0000 0.0000 0.3784 (multiplicity 6)

No. 12
For Sm2As3PRh4, DFT lattice parameters and positions (PBE) gives the simulated powder X-ray diffraction pattern in this record (Cu Kα (weighted mean of Kα1 and Kα2)).
Peak positions follow from Bragg's law for the DFT cell and can differ from measured ones.

The 10 most intense peaks (10° ≤ 2θ ≤ 90°), low angle first:
2θ 29.67, rel. 25; 2θ 34.51, rel. 84; 2θ 34.93, rel. 100; 2θ 42.45, rel. 81; 2θ 51.12, rel. 25; 2θ 55.82, rel. 42; 2θ 61.59, rel. 28; 2θ 64.72, rel. 17; 2θ 68.56, rel. 20; 2θ 72.81, rel. 23

Atomic structure:
a = 4.259 Å, b = 4.259 Å, c = 9.841 Å
α = 90.00°, β = 90.00°, γ = 90.00°
Space group P-4m2 (No. 115)
One atom of each set of equivalent atoms:
Sm1 0.000 0.500 0.241 (multiplicity 2)
As1 0.000 0.000 0.000 (multiplicity 1)
As2 0.000 0.500 0.640 (multiplicity 2)
P1 0.500 0.500 0.000 (multiplicity 1)
Rh1 0.000 0.000 0.500 (multiplicity 1)
Rh2 0.000 0.500 0.888 (multiplicity 2)
Rh3 0.500 0.500 0.500 (multiplicity 1)